1.
Diffraction record for Pm6Y3Er2Sc. The powder X-ray diffraction pattern is simulated, not measured: it uses a crystal structure in Alexandria, relaxed with GGA-PBE and Cu Kα, 1.54184 Å.
No peak broadening, texture or thermal motion is included.

Structure:
a = 6.212 Å, b = 10.757 Å, c = 11.729 Å
α = 90.00°, β = 100.13°, γ = 90.00°
Space group C2/m (No. 12)
Unique sites:
Pm  0.247  0.165  0.246 [8 per cell]
Pm  0.249  0.000  0.754 [4 per cell]
Y  0.000  0.167  0.500 [4 per cell]
Y  0.000  0.500  0.500 [2 per cell]
Er  0.000  0.333  0.000 [4 per cell]
Sc  0.000  0.000  0.000 [2 per cell]

Largest 6 diffraction maxima, in order of rising 2θ, 2θ = 5–70°:
Position (°2θ)	I (rel.)	index
30.58	100.0	1 3 1
30.98	32.0	0 0 4
35.57	66.5	2 0 2
50.93	23.9	0 6 0
51.45	22.9	1 3 5
60.81	27.7	3 3 3

2.
Diffraction record for Pm2ErSe4. The powder X-ray diffraction pattern is simulated, not measured: it uses a crystal structure in Alexandria, relaxed with GGA-PBE and Cu Kα, 1.54184 Å.
No peak broadening, texture or thermal motion is included.

Structure:
a = 8.252 Å, b = 8.326 Å, c = 11.506 Å
α = 90.00°, β = 90.00°, γ = 90.00°
Space group Imma (No. 74)
Unique sites:
Pm  0.000  0.000  0.000 [4 per cell]
Pm  0.250  0.250  0.250 [4 per cell]
Er  0.250  0.250  0.750 [4 per cell]
Se  0.000  0.008  0.742 [8 per cell]
Se  0.249  0.250  0.504 [8 per cell]

Largest 6 diffraction maxima, in order of rising 2θ, 2θ = 5–70°:
Position (°2θ)	I (rel.)	index
13.20	23.8	1 0 1
30.50	100.0	2 2 0
31.09	47.2	0 0 4
44.12	71.5	2 2 4
54.41	19.1	0 4 4
54.75	18.9	4 0 4

3.
Diffraction record for Pm4Er3Se8. The powder X-ray diffraction pattern is simulated, not measured: it uses a crystal structure in Alexandria, relaxed with GGA-PBE and Cu Kα, 1.54184 Å.
No peak broadening, texture or thermal motion is included.

Structure:
a = 11.618 Å, b = 11.627 Å, c = 8.215 Å
α = 90.00°, β = 134.91°, γ = 90.00°
Space group C2/m (No. 12)
Unique sites:
Pm  0.000  0.000  0.000 [2 per cell]
Pm  0.000  0.500  0.500 [2 per cell]
Pm  0.250  0.250  0.000 [4 per cell]
Er  0.000  0.500  0.000 [2 per cell]
Er  0.250  0.250  0.500 [4 per cell]
Se  0.000  0.243  0.500 [4 per cell]
Se  0.000  0.255  0.000 [4 per cell]
Se  0.248  0.000  0.509 [4 per cell]
Se  0.248  0.000  0.987 [4 per cell]

Largest 6 diffraction maxima, in order of rising 2θ, 2θ = 5–70°:
Position (°2θ)	I (rel.)	index
13.19	5.7	1 1 0
26.56	12.8	2 2 -2
30.76	100.0	0 4 0
44.06	73.9	4 0 0
54.69	25.9	4 4 0
64.04	8.0	0 8 0